Record 1
TbNdHo4: simulated powder XRD pattern (a wavelength of 1.5418 Å), based on a DFT-relaxed cell (PBE, Alexandria).
Peak positions follow from Bragg's law for the DFT cell and can differ from measured ones.

Atomic structure:
a = 17.3033 Å, b = 3.5799 Å, c = 6.2044 Å
α = 90.00°, β = 96.79°, γ = 90.00°
Fractional coordinates of all 12 atoms:
Tb 0.0000 0.0000 0.0000
Tb 0.5000 0.5000 0.0000
Nd 0.0000 0.5000 0.5000
Nd 0.5000 0.0000 0.5000
Ho 0.1677 0.0000 0.3887
Ho 0.1681 0.5000 0.8890
Ho 0.3319 0.0000 0.1110
Ho 0.3323 0.5000 0.6113
Ho 0.6681 0.0000 0.8890
Ho 0.6677 0.5000 0.3887
Ho 0.8323 0.0000 0.6113
Ho 0.8319 0.5000 0.1110

Principal peaks in the range 2θ = 5–70°, sorted by position:
2θ/deg	Rel. int.
29.00	36.2
29.63	18.4
31.23	51.5
32.03	100.0
33.73	91.5
40.37	12.9
51.01	39.5
54.97	20.7
58.29	20.0
61.03	46.0
61.51	15.5
62.55	15.5

***

Record 2
Tb7NdHo4: simulated powder XRD pattern (a wavelength of 1.5418 Å), based on a DFT-relaxed cell (PBE, Alexandria).
Peak positions follow from Bragg's law for the DFT cell and can differ from measured ones.

Atomic structure:
a = 6.2112 Å, b = 7.1738 Å, c = 8.8387 Å
α = 90.02°, β = 103.53°, γ = 90.01°
Fractional coordinates of all 12 atoms:
Tb 0.0000 0.0000 0.0000
Tb 0.2224 0.5003 0.6653
Tb 0.2792 0.2485 0.3356
Tb 0.5001 0.2485 0.9996
Tb 0.4999 0.7515 0.0004
Tb 0.7208 0.7515 0.6644
Tb 0.7776 0.4997 0.3347
Nd 0.0000 0.5000 0.0000
Ho 0.2205 0.0002 0.6655
Ho 0.2787 0.7514 0.3351
Ho 0.7213 0.2486 0.6649
Ho 0.7795 0.9998 0.3345

Principal peaks in the range 2θ = 5–70°, sorted by position:
2θ/deg	Rel. int.
28.95	36.6
29.58	16.6
31.22	50.8
31.99	100.0
33.69	90.0
40.33	13.7
50.92	39.0
54.93	21.0
58.25	19.4
60.95	45.4
61.41	15.5
62.45	15.2

***

Record 3
Tb8NdHo4: simulated powder XRD pattern (a wavelength of 1.5418 Å), based on a DFT-relaxed cell (PBE, Alexandria).
Peak positions follow from Bragg's law for the DFT cell and can differ from measured ones.

Atomic structure:
a = 10.0156 Å, b = 10.0156 Å, c = 10.0156 Å
α = 42.71°, β = 42.71°, γ = 42.71°
Fractional coordinates of all 13 atoms:
Tb 0.1963 0.7505 0.7505
Tb 0.2179 0.2179 0.2179
Tb 0.2495 0.2495 0.8037
Tb 0.2495 0.8037 0.2495
Tb 0.7505 0.1963 0.7505
Tb 0.7505 0.7505 0.1963
Tb 0.7821 0.7821 0.7821
Tb 0.8037 0.2495 0.2495
Nd 0.5000 0.5000 0.5000
Ho 0.0000 0.0000 0.0000
Ho 0.0000 0.5000 0.5000
Ho 0.5000 0.0000 0.5000
Ho 0.5000 0.5000 0.0000

Principal peaks in the range 2θ = 5–70°, sorted by position:
2θ/deg	Rel. int.
28.45	17.2
29.49	29.9
31.21	100.0
32.77	40.7
35.88	6.3
38.88	30.6
50.02	29.8
52.37	17.1
55.43	6.8
59.13	21.7
60.14	13.7
61.09	6.4

***

Record 4
Tb4Nd8Ho: simulated powder XRD pattern (a wavelength of 1.5418 Å), based on a DFT-relaxed cell (PBE, Alexandria).
Peak positions follow from Bragg's law for the DFT cell and can differ from measured ones.

Atomic structure:
a = 10.5468 Å, b = 10.5468 Å, c = 10.5468 Å
α = 40.59°, β = 40.59°, γ = 40.59°
Fractional coordinates of all 13 atoms:
Tb 0.0000 0.0000 0.0000
Tb 0.0000 0.5000 0.5000
Tb 0.5000 0.0000 0.5000
Tb 0.5000 0.5000 0.0000
Nd 0.2051 0.7512 0.7512
Nd 0.2123 0.2123 0.2123
Nd 0.2488 0.2488 0.7949
Nd 0.2488 0.7949 0.2488
Nd 0.7512 0.2051 0.7512
Nd 0.7512 0.7512 0.2051
Nd 0.7877 0.7877 0.7877
Nd 0.7949 0.2488 0.2488
Ho 0.5000 0.5000 0.5000

Principal peaks in the range 2θ = 5–70°, sorted by position:
2θ/deg	Rel. int.
27.69	25.7
28.34	15.5
30.65	8.1
30.80	100.0
32.20	34.9
34.01	10.4
37.71	38.3
49.86	29.6
50.02	13.3
57.98	19.2
59.76	13.8
61.76	8.2